# TmCu6
Theoretical powder XRD pattern, CuKα. Input: a DFT-relaxed cell (PBE, Alexandria).
Peak positions follow from Bragg's law for the DFT cell and can differ from measured ones.

```
data_TmCu6
_cell_length_a 7.9315
_cell_length_b 5.0159
_cell_length_c 9.9792
_cell_angle_alpha 90.00
_cell_angle_beta 90.00
_cell_angle_gamma 90.00
_symmetry_space_group_name_H-M 'P n m a'
_symmetry_Int_Tables_number 62
_symmetry_space_group_name_Hall '-P 2ac 2n'
loop_
_atom_site_label
_atom_site_type_symbol
_atom_site_fract_x
_atom_site_fract_y
_atom_site_fract_z
Tm1 Tm 0.2423 0.2500 0.0653
Cu1 Cu 0.0631 0.7500 0.0909
Cu2 Cu 0.0646 0.0072 0.3083
Cu3 Cu 0.1013 0.2500 0.5179
Cu4 Cu 0.1460 0.7500 0.8543
Cu5 Cu 0.1840 0.2500 0.7579
```

Main lines, in order of rising 2θ (2θ from 10° to 90°):
d [Å], two_theta, intensity, hkl
2.772, 32.3, 14, 0 1 3
2.508, 35.8, 20, 0 2 0
2.380, 37.8, 33, 1 0 4
2.275, 39.6, 100, 3 1 1
2.241, 40.2, 16, 0 2 2
2.119, 42.7, 23, 2 2 0
2.073, 43.7, 18, 2 2 1
1.946, 46.7, 27, 4 0 1
1.942, 46.8, 18, 1 2 3
1.399, 66.9, 19, 3 3 1


# Tm4Cu3
Theoretical powder XRD pattern, CuKα. Input: a DFT-relaxed cell (PBE, Alexandria).
Peak positions follow from Bragg's law for the DFT cell and can differ from measured ones.

```
data_Tm4Cu3
_cell_length_a 4.8015
_cell_length_b 4.8015
_cell_length_c 23.5410
_cell_angle_alpha 90.00
_cell_angle_beta 90.00
_cell_angle_gamma 120.00
_symmetry_space_group_name_H-M 'R -3 m'
_symmetry_Int_Tables_number 166
_symmetry_space_group_name_Hall '-R 3 2"'
loop_
_atom_site_label
_atom_site_type_symbol
_atom_site_fract_x
_atom_site_fract_y
_atom_site_fract_z
Tm1 Tm 0.0000 0.0000 0.1241
Tm2 Tm 0.0000 0.0000 0.3744
Cu1 Cu 0.0000 0.0000 0.2494
Cu2 Cu 0.0000 0.0000 0.5000
```

Main lines, in order of rising 2θ (2θ from 10° to 90°):
d [Å], two_theta, intensity, hkl
7.847, 11.3, 2, 0 0 3
3.922, 22.7, 2, 0 0 6
3.396, 26.2, 35, 1 0 4
2.401, 37.5, 100, 1 1 0
1.961, 46.3, 10, 0 2 4
1.698, 54.0, 17, 2 0 8
1.519, 61.0, 14, 2 1 4
1.386, 67.6, 35, 3 0 0
1.201, 79.9, 11, 2 2 0
1.132, 85.8, 7, 1 3 4


# Tm3Cu4
Theoretical powder XRD pattern, CuKα. Input: a DFT-relaxed cell (PBE, Alexandria).
Peak positions follow from Bragg's law for the DFT cell and can differ from measured ones.

```
data_Tm3Cu4
_cell_length_a 3.8354
_cell_length_b 10.0933
_cell_length_c 13.9287
_cell_angle_alpha 90.00
_cell_angle_beta 90.00
_cell_angle_gamma 90.00
_symmetry_space_group_name_H-M 'C m c m'
_symmetry_Int_Tables_number 63
_symmetry_space_group_name_Hall '-C 2c 2'
loop_
_atom_site_label
_atom_site_type_symbol
_atom_site_fract_x
_atom_site_fract_y
_atom_site_fract_z
Tm1 Tm 0.0000 0.0296 0.2500
Tm2 Tm 0.0000 0.3104 0.0986
Cu1 Cu 0.0000 0.0000 0.0000
Cu2 Cu 0.0000 0.2588 0.7500
Cu3 Cu 0.0000 0.4043 0.5976
```

Main lines, in order of rising 2θ (2θ from 10° to 90°):
d [Å], two_theta, intensity, hkl
3.188, 28.0, 32, 1 1 2
2.866, 31.2, 40, 0 2 4
2.838, 31.5, 56, 1 1 3
2.529, 35.5, 98, 1 3 0
2.498, 36.0, 100, 1 1 4
2.483, 36.2, 34, 0 4 1
2.321, 38.8, 38, 0 0 6
2.220, 40.6, 93, 1 3 3
1.918, 47.4, 40, 2 0 0
1.710, 53.6, 25, 1 3 6


# Tm4Cu
Theoretical powder XRD pattern, CuKα. Input: a DFT-relaxed cell (PBE, Alexandria).
Peak positions follow from Bragg's law for the DFT cell and can differ from measured ones.

```
data_Tm4Cu
_cell_length_a 5.2889
_cell_length_b 5.2889
_cell_length_c 5.2889
_cell_angle_alpha 90.00
_cell_angle_beta 90.00
_cell_angle_gamma 90.00
_symmetry_space_group_name_H-M 'P m -3 m'
_symmetry_Int_Tables_number 221
_symmetry_space_group_name_Hall '-P 4 2 3'
loop_
_atom_site_label
_atom_site_type_symbol
_atom_site_fract_x
_atom_site_fract_y
_atom_site_fract_z
Tm1 Tm 0.0000 0.0000 0.0000
Tm2 Tm 0.0000 0.5000 0.5000
Cu1 Cu 0.5000 0.5000 0.5000
```

Main lines, in order of rising 2θ (2θ from 10° to 90°):
d [Å], two_theta, intensity, hkl
5.289, 16.8, 4, 1 0 0
3.740, 23.8, 3, 1 1 0
3.054, 29.2, 100, 1 1 1
2.644, 33.9, 77, 2 0 0
1.870, 48.7, 56, 2 2 0
1.595, 57.8, 45, 3 1 1
1.527, 60.7, 19, 2 2 2
1.322, 71.3, 9, 4 0 0
1.213, 78.9, 19, 3 3 1
1.183, 81.4, 25, 4 2 0